Record 1
The following is a theoretical X-ray powder pattern of MgMn6P6O24. It was derived from a cell relaxed with GGA+U, using Cu Kα (weighted mean of Kα1 and Kα2).
Intensities are scaled so that the largest is 100.

Largest 8 diffraction maxima, in order of rising 2θ, 2θ = 10–90°:
d [Å], two_theta, I/Imax, h k l
4.533, 19.58, 90, 1 0 1
4.193, 21.19, 78, 2 -1 0
4.112, 21.61, 91, 0 2 -1
4.059, 21.90, 100, 2 0 -1
3.553, 25.06, 84, 0 2 -2
3.516, 25.33, 81, 2 0 -2
2.991, 29.87, 77, 0 1 2
2.712, 33.03, 81, -3 2 1

abc: 8.7152 8.8199 8.9789
angles: 106.37 105.70 110.95
Space group P1 (No. 1)
Unique sites:
Mg 0.0000 0.0000 0.0000 (multiplicity 1)
Mn 0.0750 0.7933 0.6218 (multiplicity 1)
Mn 0.1649 0.7058 0.1207 (multiplicity 1)
Mn 0.4022 0.3075 0.3717 (multiplicity 1)
Mn 0.5683 0.5137 0.9440 (multiplicity 1)
Mn 0.6317 0.0040 0.8203 (multiplicity 1)
Mn 0.8887 0.1648 0.4385 (multiplicity 1)
P 0.0135 0.3238 0.1908 (multiplicity 1)
P 0.1993 0.5410 0.7542 (multiplicity 1)
P 0.3801 0.1350 0.9896 (multiplicity 1)
P 0.5184 0.0344 0.4823 (multiplicity 1)
P 0.6954 0.6421 0.6834 (multiplicity 1)
P 0.9053 0.8302 0.2525 (multiplicity 1)
O 0.0220 0.8629 0.1467 (multiplicity 1)
O 0.0234 0.8860 0.4385 (multiplicity 1)
O 0.0827 0.5084 0.1966 (multiplicity 1)
O 0.0941 0.3343 0.6427 (multiplicity 1)
O 0.1175 0.5933 0.8785 (multiplicity 1)
O 0.1626 0.2595 0.2256 (multiplicity 1)
O 0.1737 0.9981 0.8899 (multiplicity 1)
O 0.2018 0.6462 0.6442 (multiplicity 1)
O 0.3975 0.5846 0.8547 (multiplicity 1)
O 0.4109 0.8931 0.2999 (multiplicity 1)
O 0.4130 0.2966 0.9460 (multiplicity 1)
O 0.4365 0.1881 0.1831 (multiplicity 1)
O 0.4584 0.9605 0.6075 (multiplicity 1)
O 0.4869 0.2029 0.5108 (multiplicity 1)
O 0.4926 0.0439 0.9439 (multiplicity 1)
O 0.4985 0.5441 0.5447 (multiplicity 1)
O 0.7106 0.5650 0.8203 (multiplicity 1)
O 0.7239 0.0939 0.5443 (multiplicity 1)
O 0.7498 0.8451 0.7853 (multiplicity 1)
O 0.7637 0.6285 0.1669 (multiplicity 1)
O 0.8063 0.9465 0.2410 (multiplicity 1)
O 0.8274 0.6310 0.6056 (multiplicity 1)
O 0.8815 0.1710 0.0060 (multiplicity 1)
O 0.9241 0.3106 0.3161 (multiplicity 1)



Record 2
The following is a theoretical X-ray powder pattern of SrCaMnWO6. It was derived from a cell relaxed with GGA+U, using Cu Kα (weighted mean of Kα1 and Kα2).
Intensities are scaled so that the largest is 100.

Largest 8 diffraction maxima, in order of rising 2θ, 2θ = 10–90°:
d [Å], two_theta, I/Imax, h k l
4.685, 18.94, 38, 1 1 1
4.057, 21.91, 22, 2 0 0
2.869, 31.18, 100, 2 2 0
2.447, 36.73, 20, 3 1 1
2.029, 44.67, 34, 4 0 0
1.656, 55.48, 39, 4 2 2
1.434, 65.02, 20, 4 4 0
1.283, 73.87, 17, 6 2 0

abc: 8.1144 8.1144 8.1144
angles: 90.00 90.00 90.00
Space group F-43m (No. 216)
Unique sites:
Sr 0.0000 0.0000 0.0000 (multiplicity 4)
Ca 0.0000 0.0000 0.5000 (multiplicity 4)
Mn 0.2500 0.2500 0.7500 (multiplicity 4)
W 0.2500 0.2500 0.2500 (multiplicity 4)
O 0.0109 0.2500 0.2500 (multiplicity 24)



Record 3
The following is a theoretical X-ray powder pattern of BaCo2P2O8. It was derived from a cell relaxed with GGA+U, using Cu Kα (weighted mean of Kα1 and Kα2).
Intensities are scaled so that the largest is 100.

Largest 8 diffraction maxima, in order of rising 2θ, 2θ = 10–90°:
d [Å], two_theta, I/Imax, h k l
4.032, 22.05, 43, 0 0 2
3.935, 22.60, 39, 1 0 0
3.189, 27.98, 58, 0 1 -2
3.156, 28.28, 100, -1 1 2
2.686, 33.35, 38, 0 1 2
2.656, 33.75, 48, 1 -1 2
2.436, 36.89, 72, 1 1 -1
2.384, 37.73, 32, -2 1 1

abc: 4.7679 4.8718 8.5176
angles: 90.41 106.11 119.22
Space group P-1 (No. 2)
Unique sites:
Ba 0.0000 0.0000 0.0000 (multiplicity 1)
Co 0.3275 0.1492 0.5051 (multiplicity 2)
P 0.1432 0.5710 0.7188 (multiplicity 2)
O 0.0882 0.8508 0.6587 (multiplicity 2)
O 0.2024 0.7565 0.3403 (multiplicity 2)
O 0.2748 0.6355 0.9087 (multiplicity 2)
O 0.4046 0.5551 0.6486 (multiplicity 2)



Record 4
The following is a theoretical X-ray powder pattern of MgCo3NiO8. It was derived from a cell relaxed with GGA+U, using Cu Kα (weighted mean of Kα1 and Kα2).
Intensities are scaled so that the largest is 100.

Largest 8 diffraction maxima, in order of rising 2θ, 2θ = 10–90°:
d [Å], two_theta, I/Imax, h k l
4.855, 18.27, 81, 0 0 1
4.736, 18.73, 81, 1 1 0
2.484, 36.15, 23, 3 1 0
2.468, 36.40, 20, 4 0 -1
2.368, 38.00, 23, 2 2 0
2.063, 43.88, 100, 4 0 0
1.473, 63.14, 25, 2 2 2
1.447, 64.40, 18, 6 2 -2

abc: 10.0275 5.7778 5.8918
angles: 90.00 124.51 90.00
Space group C2/m (No. 12)
Unique sites:
Mg 0.0000 0.0000 0.0000 (multiplicity 2)
Co 0.0000 0.5000 0.0000 (multiplicity 2)
Co 0.2500 0.2500 0.0000 (multiplicity 4)
Ni 0.0000 0.5000 0.5000 (multiplicity 2)
O 0.0215 0.2699 0.7949 (multiplicity 8)
O 0.2324 0.5000 0.1956 (multiplicity 4)
O 0.2483 0.0000 0.2063 (multiplicity 4)



Record 5
The following is a theoretical X-ray powder pattern of NaMg14CoO16. It was derived from a cell relaxed with GGA+U, using Cu Kα (weighted mean of Kα1 and Kα2).
Intensities are scaled so that the largest is 100.

Largest 8 diffraction maxima, in order of rising 2θ, 2θ = 10–90°:
d [Å], two_theta, I/Imax, h k l
2.464, 36.47, 42, 1 2 2
2.152, 41.99, 100, 2 0 0
2.135, 42.33, 97, 0 0 4
2.115, 42.76, 92, 0 4 0
1.516, 61.15, 55, 2 0 4
1.508, 61.48, 53, 2 4 0
1.502, 61.74, 52, 0 4 4
1.232, 77.48, 48, 2 4 4

abc: 4.3038 8.4582 8.5402
angles: 90.00 90.00 90.00
Space group Pmmm (No. 47)
Unique sites:
Na 0.0000 0.0000 0.0000 (multiplicity 1)
Mg 0.0000 0.0000 0.5000 (multiplicity 1)
Mg 0.0000 0.2470 0.2513 (multiplicity 4)
Mg 0.0000 0.5000 0.5000 (multiplicity 1)
Mg 0.5000 0.0000 0.2476 (multiplicity 2)
Mg 0.5000 0.2465 0.0000 (multiplicity 2)
Mg 0.5000 0.2490 0.5000 (multiplicity 2)
Mg 0.5000 0.5000 0.2471 (multiplicity 2)
Co 0.0000 0.5000 0.0000 (multiplicity 1)
O 0.0000 0.0000 0.2627 (multiplicity 2)
O 0.0000 0.2559 0.5000 (multiplicity 2)
O 0.0000 0.2770 0.0000 (multiplicity 2)
O 0.0000 0.5000 0.2434 (multiplicity 2)
O 0.5000 0.0000 0.0000 (multiplicity 1)
O 0.5000 0.0000 0.5000 (multiplicity 1)
O 0.5000 0.2515 0.2483 (multiplicity 4)
O 0.5000 0.5000 0.0000 (multiplicity 1)
O 0.5000 0.5000 0.5000 (multiplicity 1)



Record 6
The following is a theoretical X-ray powder pattern of LiMnCoO4. It was derived from a cell relaxed with GGA+U, using Cu Kα (weighted mean of Kα1 and Kα2).
Intensities are scaled so that the largest is 100.

Largest 8 diffraction maxima, in order of rising 2θ, 2θ = 10–90°:
d [Å], two_theta, I/Imax, h k l
4.784, 18.55, 100, 0 1 1
4.754, 18.67, 97, 1 0 1
2.546, 35.25, 36, 0 1 3
2.471, 36.36, 28, 1 2 1
2.458, 36.56, 30, 2 1 1
2.128, 42.47, 40, 0 0 4
2.035, 44.51, 68, 2 2 0
1.471, 63.21, 43, 2 2 4

abc: 5.7303 5.7837 8.5132
angles: 90.00 90.00 90.00
Space group Imma (No. 74)
Unique sites:
Li 0.0000 0.2500 0.1346 (multiplicity 4)
Mn 0.0000 0.0000 0.5000 (multiplicity 4)
Co 0.2500 0.2500 0.7500 (multiplicity 4)
O 0.0000 0.0282 0.7287 (multiplicity 8)
O 0.2229 0.2500 0.5005 (multiplicity 8)